1.
Starting from a DFT-relaxed cell (PBE, OQMD), the PXRD pattern of ZnPbSO was computed for Cu Kα (weighted mean of Kα1 and Kα2).
Peak positions follow from Bragg's law for the DFT cell and can differ from measured ones.

Structural model:
```
data_ZnPbSO
_cell_length_a 7.179
_cell_length_b 7.377
_cell_length_c 12.210
_cell_angle_alpha 90.00
_cell_angle_beta 90.00
_cell_angle_gamma 90.00
_symmetry_space_group_name_H-M 'P b c a'
_symmetry_Int_Tables_number 61
_symmetry_space_group_name_Hall '-P 2ac 2ab'
loop_
_atom_site_label
_atom_site_fract_x
_atom_site_fract_y
_atom_site_fract_z
_atom_site_occupancy
Zn1 0.061 0.198 0.058 1
Pb1 0.214 0.555 0.768 1
S1 0.221 0.583 0.508 1
O1 0.028 0.233 0.218 1
```

Main lines, by angle (10° ≤ 2θ ≤ 90°):
- 14.51°, I = 1000, (0 0 2)
- 28.27°, I = 739, (0 2 2)
- 28.85°, I = 766, (2 0 2)
- 29.26°, I = 715, (0 0 4)
- 34.88°, I = 740, (2 2 0)
- 35.67°, I = 536, (2 2 1)

=====

2.
Starting from a DFT-relaxed cell (PBE, OQMD), the PXRD pattern of SmZnO3 was computed for Cu Kα (weighted mean of Kα1 and Kα2).
Peak positions follow from Bragg's law for the DFT cell and can differ from measured ones.

Structural model:
```
data_SmZnO3
_cell_length_a 5.784
_cell_length_b 7.595
_cell_length_c 5.327
_cell_angle_alpha 90.00
_cell_angle_beta 90.00
_cell_angle_gamma 90.00
_symmetry_space_group_name_H-M 'P n m a'
_symmetry_Int_Tables_number 62
_symmetry_space_group_name_Hall '-P 2ac 2n'
loop_
_atom_site_label
_atom_site_fract_x
_atom_site_fract_y
_atom_site_fract_z
_atom_site_occupancy
Sm1 0.078 0.250 0.021 1
Zn1 0.000 0.000 0.500 1
O1 0.026 0.750 0.401 1
O2 0.190 0.550 0.800 1
```

Main lines, by angle (10° ≤ 2θ ≤ 90°):
- 25.58°, I = 259, (1 1 1)
- 32.84°, I = 1000, (1 2 1)
- 33.65°, I = 255, (0 0 2)
- 47.93°, I = 303, (0 4 0)
- 51.85°, I = 189, (3 1 1)
- 59.67°, I = 272, (1 2 3)

=====

3.
Starting from a DFT-relaxed cell (PBE, OQMD), the PXRD pattern of DyErHg6 was computed for Cu Kα (weighted mean of Kα1 and Kα2).
Peak positions follow from Bragg's law for the DFT cell and can differ from measured ones.

Structural model:
```
data_DyErHg6
_cell_length_a 6.5850
_cell_length_b 6.5850
_cell_length_c 4.9939
_cell_angle_alpha 90.00
_cell_angle_beta 90.00
_cell_angle_gamma 120.00
_symmetry_space_group_name_H-M 'P -6 m 2'
_symmetry_Int_Tables_number 187
_symmetry_space_group_name_Hall 'P -6 2'
loop_
_atom_site_label
_atom_site_fract_x
_atom_site_fract_y
_atom_site_fract_z
_atom_site_occupancy
Dy1 0.0000 0.0000 0.0000 1
Er1 0.3333 0.6667 0.5000 1
Hg1 0.0005 0.5003 0.0000 1
Hg2 0.3336 0.1668 0.5000 1
```

Main lines, by angle (10° ≤ 2θ ≤ 90°):
- 31.37°, I = 244, (2 0 0)
- 35.97°, I = 227, (0 0 2)
- 36.28°, I = 1000, (2 0 1)
- 55.85°, I = 196, (2 2 0)
- 64.86°, I = 188, (2 0 3)
- 68.24°, I = 216, (2 2 2)

=====

4.
Starting from a DFT-relaxed cell (PBE, OQMD), the PXRD pattern of TaTlPO was computed for Cu Kα (weighted mean of Kα1 and Kα2).
Peak positions follow from Bragg's law for the DFT cell and can differ from measured ones.

Structural model:
```
data_TaTlPO
_cell_length_a 3.374
_cell_length_b 7.247
_cell_length_c 7.120
_cell_angle_alpha 90.00
_cell_angle_beta 90.00
_cell_angle_gamma 90.00
_symmetry_space_group_name_H-M 'P m c 21'
_symmetry_Int_Tables_number 26
_symmetry_space_group_name_Hall 'P 2c -2'
loop_
_atom_site_label
_atom_site_fract_x
_atom_site_fract_y
_atom_site_fract_z
_atom_site_occupancy
Ta1 0.000 0.096 0.000 1
Tl1 0.500 0.296 0.547 1
P1 0.500 0.333 0.964 1
O1 0.000 0.030 0.262 1
```

Main lines, by angle (10° ≤ 2θ ≤ 90°):
- 25.01°, I = 879, (0 0 2)
- 27.62°, I = 628, (0 2 1)
- 29.20°, I = 497, (1 1 0)
- 31.84°, I = 1000, (1 1 1)
- 36.38°, I = 337, (1 2 0)
- 39.39°, I = 357, (0 3 1)

=====

5.
Starting from a DFT-relaxed cell (PBE, OQMD), the PXRD pattern of TmCoSn was computed for Cu Kα (weighted mean of Kα1 and Kα2).
Peak positions follow from Bragg's law for the DFT cell and can differ from measured ones.

Structural model:
```
data_TmCoSn
_cell_length_a 7.117
_cell_length_b 4.526
_cell_length_c 7.346
_cell_angle_alpha 90.00
_cell_angle_beta 90.00
_cell_angle_gamma 90.00
_symmetry_space_group_name_H-M 'P n m a'
_symmetry_Int_Tables_number 62
_symmetry_space_group_name_Hall '-P 2ac 2n'
loop_
_atom_site_label
_atom_site_fract_x
_atom_site_fract_y
_atom_site_fract_z
_atom_site_occupancy
Tm1 0.018 0.250 0.205 1
Co1 0.160 0.750 0.439 1
Sn1 0.207 0.250 0.605 1
```

Main lines, by angle (10° ≤ 2θ ≤ 90°):
- 33.86°, I = 402, (1 1 2)
- 34.30°, I = 1000, (2 1 1)
- 35.11°, I = 296, (2 0 2)
- 39.84°, I = 386, (0 2 0)
- 39.94°, I = 180, (3 0 1)
- 41.95°, I = 423, (0 1 3)

=====

6.
Starting from a DFT-relaxed cell (PBE, OQMD), the PXRD pattern of Y2Ni7Sn3 was computed for Cu Kα (weighted mean of Kα1 and Kα2).
Peak positions follow from Bragg's law for the DFT cell and can differ from measured ones.

Structural model:
```
data_Y2Ni7Sn3
_cell_length_a 8.597
_cell_length_b 23.746
_cell_length_c 7.555
_cell_angle_alpha 90.00
_cell_angle_beta 90.00
_cell_angle_gamma 90.00
_symmetry_space_group_name_H-M 'C m c e'
_symmetry_Int_Tables_number 64
_symmetry_space_group_name_Hall '-C 2ac 2'
loop_
_atom_site_label
_atom_site_fract_x
_atom_site_fract_y
_atom_site_fract_z
_atom_site_occupancy
Y1 0.000 0.194 0.073 1
Y2 0.206 0.000 0.500 1
Ni1 0.000 0.047 0.148 1
Ni2 0.000 0.101 0.445 1
Ni3 0.000 0.165 0.690 1
Ni4 0.149 0.197 0.421 1
Ni5 0.239 0.116 0.908 1
Sn1 0.000 0.062 0.795 1
Sn2 0.250 0.106 0.250 1
Sn3 0.250 0.218 0.750 1
```

Main lines, by angle (10° ≤ 2θ ≤ 90°):
- 32.44°, I = 697, (2 2 2)
- 36.80°, I = 1000, (2 8 0)
- 38.58°, I = 776, (3 5 1)
- 42.04°, I = 765, (4 0 0)
- 42.28°, I = 811, (2 2 3)
- 42.55°, I = 892, (0 6 3)

=====

7.
Starting from a DFT-relaxed cell (PBE, OQMD), the PXRD pattern of CsAgIBr2 was computed for Cu Kα (weighted mean of Kα1 and Kα2).
Peak positions follow from Bragg's law for the DFT cell and can differ from measured ones.

Structural model:
```
data_CsAgIBr2
_cell_length_a 7.825
_cell_length_b 7.825
_cell_length_c 11.508
_cell_angle_alpha 90.00
_cell_angle_beta 90.00
_cell_angle_gamma 90.00
_symmetry_space_group_name_H-M 'I 4/m m m'
_symmetry_Int_Tables_number 139
_symmetry_space_group_name_Hall '-I 4 2'
loop_
_atom_site_label
_atom_site_fract_x
_atom_site_fract_y
_atom_site_fract_z
_atom_site_occupancy
Cs1 0.000 0.500 0.250 1
Ag1 0.000 0.000 0.000 1
Ag2 0.000 0.000 0.500 1
I1 0.000 0.000 0.241 1
Br1 0.245 0.245 0.500 1
```

Main lines, by angle (10° ≤ 2θ ≤ 90°):
- 22.73°, I = 356, (2 0 0)
- 27.57°, I = 1000, (2 0 2)
- 31.09°, I = 547, (0 0 4)
- 32.36°, I = 990, (2 2 0)
- 45.49°, I = 742, (2 2 4)
- 56.92°, I = 375, (4 0 4)

=====

8.
Starting from a DFT-relaxed cell (PBE, OQMD), the PXRD pattern of Er5Al2Pb was computed for Cu Kα (weighted mean of Kα1 and Kα2).
Peak positions follow from Bragg's law for the DFT cell and can differ from measured ones.

Structural model:
```
data_Er5Al2Pb
_cell_length_a 7.915
_cell_length_b 7.915
_cell_length_c 13.688
_cell_angle_alpha 90.00
_cell_angle_beta 90.00
_cell_angle_gamma 90.00
_symmetry_space_group_name_H-M 'I 4/m c m'
_symmetry_Int_Tables_number 140
_symmetry_space_group_name_Hall '-I 4 2c'
loop_
_atom_site_label
_atom_site_fract_x
_atom_site_fract_y
_atom_site_fract_z
_atom_site_occupancy
Er1 0.000 0.000 0.000 1
Er2 0.162 0.338 0.146 1
Al1 0.128 0.372 0.500 1
Pb1 0.000 0.000 0.250 1
```

Main lines, by angle (10° ≤ 2θ ≤ 90°):
- 26.00°, I = 400, (2 1 1)
- 30.62°, I = 446, (1 1 4)
- 32.00°, I = 1000, (2 1 3)
- 34.65°, I = 506, (2 0 4)
- 35.88°, I = 646, (3 1 0)
- 53.52°, I = 384, (0 0 8)

=====

9.
Starting from a DFT-relaxed cell (PBE, OQMD), the PXRD pattern of ZnBiAsO was computed for Cu Kα (weighted mean of Kα1 and Kα2).
Peak positions follow from Bragg's law for the DFT cell and can differ from measured ones.

Structural model:
```
data_ZnBiAsO
_cell_length_a 6.138
_cell_length_b 6.981
_cell_length_c 7.477
_cell_angle_alpha 90.00
_cell_angle_beta 90.00
_cell_angle_gamma 90.00
_symmetry_space_group_name_H-M 'P 21 21 21'
_symmetry_Int_Tables_number 19
_symmetry_space_group_name_Hall 'P 2ac 2ab'
loop_
_atom_site_label
_atom_site_fract_x
_atom_site_fract_y
_atom_site_fract_z
_atom_site_occupancy
Zn1 0.040 0.165 0.391 1
Bi1 0.062 0.568 0.661 1
As1 0.127 0.820 0.373 1
O1 0.141 0.748 0.900 1
```

Main lines, by angle (10° ≤ 2θ ≤ 90°):
- 27.06°, I = 1000, (0 1 2)
- 29.10°, I = 309, (2 0 0)
- 29.44°, I = 385, (1 2 0)
- 31.83°, I = 662, (1 2 1)
- 34.09°, I = 421, (2 1 1)
- 40.15°, I = 299, (2 1 2)